Diffraction record for AcMgI6. The X-ray powder pattern is simulated, not measured: it uses a cell relaxed with GGA-PBE and Cu Ka.
No peak broadening, texture or thermal motion is included.

Peak list (12 most intense, 15 to 90 degrees two-theta, in order of rising 2θ)
2θ = 15.89°, d 5.577, I 29, hkl 0 1 1
2θ = 21.94°, d 4.052, I 19, hkl 1 0 -1
2θ = 26.42°, d 3.374, I 100, hkl 1 2 0
2θ = 26.51°, d 3.362, I 79, hkl -1 1 1
2θ = 26.67°, d 3.343, I 75, hkl 2 1 2
2θ = 26.94°, d 3.310, I 28, hkl 2 0 1
2θ = 35.09°, d 2.557, I 32, hkl 2 1 -1
2θ = 35.28°, d 2.544, I 30, hkl 1 -1 2
2θ = 35.47°, d 2.531, I 31, hkl 1 2 3
2θ = 40.32°, d 2.237, I 74, hkl 0 3 1
2θ = 49.06°, d 1.857, I 16, hkl 2 4 3
2θ = 54.39°, d 1.687, I 19, hkl 0 0 4

Cell and atoms:
```
AcMgI6
1.0
7.746 0.000 0.000
3.870 6.712 0.000
3.796 2.205 6.746
Ac Mg I
1 1 6
Direct
0.000 0.000 0.000
0.500 0.500 0.500
0.094 0.441 0.741
0.275 0.908 0.262
0.444 0.721 0.744
0.556 0.279 0.256
0.725 0.092 0.738
0.906 0.559 0.259
```